# 1
Structure and computed powder X-ray diffraction pattern of Nb2CoNi9 (a cell relaxed with GGA-PBE; Cu Kα (λ = 1.5418 Å)).
Kinematic intensities with the Lorentz-polarization factor, no thermal factor.

The 10 most intense peaks (10° ≤ 2θ ≤ 80°), by angle:
- 42.8 deg, I = 81
- 42.9 deg, I = 81
- 43.4 deg, I = 82
- 43.4 deg, I = 82
- 49.8 deg, I = 52
- 50.4 deg, I = 100
- 73.5 deg, I = 15
- 73.7 deg, I = 16
- 74.0 deg, I = 14
- 74.2 deg, I = 29

Crystal structure
a b c (Å): 4.4289 5.8191 6.2608
angles (deg): 111.63 90.10 104.87
Atoms (fractional coordinates):
Nb: 0.0949 0.2818 0.0940
Nb: 0.9051 0.7182 0.9060
Co: 0.0000 0.5000 0.5000
Ni: 0.1586 0.9915 0.6620
Ni: 0.2625 0.7686 0.2520
Ni: 0.3276 0.4833 0.8167
Ni: 0.4285 0.2553 0.4174
Ni: 0.5000 0.0000 0.0000
Ni: 0.5715 0.7447 0.5826
Ni: 0.6724 0.5167 0.1833
Ni: 0.7375 0.2314 0.7480
Ni: 0.8414 0.0085 0.3380

***

# 2
Structure and computed powder X-ray diffraction pattern of Pm2PrHg7 (a cell relaxed with GGA-PBE; Cu Kα (λ = 1.5418 Å)).
Kinematic intensities with the Lorentz-polarization factor, no thermal factor.

The 10 most intense peaks (10° ≤ 2θ ≤ 80°), by angle:
- 29.8 deg, I = 38
- 35.3 deg, I = 100
- 35.6 deg, I = 87
- 46.9 deg, I = 11
- 51.1 deg, I = 32
- 56.4 deg, I = 11
- 60.0 deg, I = 11
- 63.4 deg, I = 19
- 63.6 deg, I = 33
- 74.7 deg, I = 12

Crystal structure
a b c (Å): 5.0810 5.0810 12.2887
angles (deg): 90.00 90.00 120.00
Atoms (fractional coordinates):
Pm: 0.0000 0.0000 0.0000
Pm: 0.3333 0.6667 0.6838
Pr: 0.6667 0.3333 0.3213
Hg: 0.0000 0.0000 0.2432
Hg: 0.0000 0.0000 0.5011
Hg: 0.0000 0.0000 0.7563
Hg: 0.3333 0.6667 0.1315
Hg: 0.3333 0.6667 0.4162
Hg: 0.6667 0.3333 0.5931
Hg: 0.6667 0.3333 0.8704

***

# 3
Structure and computed powder X-ray diffraction pattern of La3Si2Ni3 (a cell relaxed with GGA-PBE; Cu Kα (λ = 1.5418 Å)).
Kinematic intensities with the Lorentz-polarization factor, no thermal factor.

The 10 most intense peaks (10° ≤ 2θ ≤ 80°), by angle:
- 23.8 deg, I = 31
- 27.8 deg, I = 33
- 31.6 deg, I = 81
- 31.8 deg, I = 100
- 33.8 deg, I = 62
- 35.0 deg, I = 46
- 36.7 deg, I = 40
- 38.4 deg, I = 31
- 38.8 deg, I = 41
- 40.6 deg, I = 31

Crystal structure
a b c (Å): 7.5164 14.0519 6.2062
angles (deg): 90.00 90.00 90.00
Atoms (fractional coordinates):
La: 0.0226 0.1061 0.1381
La: 0.0226 0.3939 0.1381
La: 0.1098 0.7500 0.3755
La: 0.3902 0.2500 0.8755
La: 0.4774 0.6061 0.6381
La: 0.4774 0.8939 0.6381
La: 0.5226 0.1061 0.3619
La: 0.5226 0.3939 0.3619
La: 0.6098 0.7500 0.1245
La: 0.8902 0.2500 0.6245
La: 0.9774 0.6061 0.8619
La: 0.9774 0.8939 0.8619
Si: 0.1756 0.0861 0.6325
Si: 0.1756 0.4139 0.6325
Si: 0.3244 0.5861 0.1325
Si: 0.3244 0.9139 0.1325
Si: 0.6756 0.0861 0.8675
Si: 0.6756 0.4139 0.8675
Si: 0.8244 0.5861 0.3675
Si: 0.8244 0.9139 0.3675
Ni: 0.1232 0.5407 0.3931
Ni: 0.1232 0.9593 0.3931
Ni: 0.2273 0.2500 0.4491
Ni: 0.2727 0.7500 0.9491
Ni: 0.3768 0.0407 0.8931
Ni: 0.3768 0.4593 0.8931
Ni: 0.6232 0.5407 0.1069
Ni: 0.6232 0.9593 0.1069
Ni: 0.7273 0.2500 0.0509
Ni: 0.7727 0.7500 0.5509
Ni: 0.8768 0.0407 0.6069
Ni: 0.8768 0.4593 0.6069